Calculated PXRD pattern
Compound: VB6O6
Radiation: λ = 1.5418 Å (Cu Kα)
Structure: a DFT-relaxed cell (GGA+U, the Materials Project)
Kinematic intensities with the Lorentz-polarization factor, no thermal factor.

The 10 most intense peaks (10° ≤ 2θ ≤ 90°), low angle first:
| index | 2θ/deg | d/Å | I/Imax |
| --- | --- | --- | --- |
| 1 1 -1 | 15.46 | 5.733 | 53 |
| 0 0 2 | 17.15 | 5.170 | 100 |
| 1 1 1 | 19.59 | 4.531 | 30 |
| 0 2 1 | 23.85 | 3.731 | 11 |
| 1 1 -3 | 26.29 | 3.390 | 12 |
| 1 1 3 | 33.75 | 2.655 | 7 |
| 0 2 3 | 34.36 | 2.610 | 8 |
| 0 0 4 | 34.71 | 2.585 | 14 |
| 4 0 -1 | 41.01 | 2.201 | 6 |
| 4 0 -3 | 41.19 | 2.192 | 6 |

Atomic structure:
Unit cell a=8.9911 b=8.0016 c=11.2325 alpha=90.00 beta=113.01 gamma=90.00
Space group C2/m (No. 12)
Unique sites:
V (0.0000, 0.0000, 0.0000) [2 per cell]
B (0.1396, 0.5000, 0.4933) [4 per cell]
B (0.1993, 0.1655, 0.9998) [8 per cell]
O (0.1295, 0.3418, 0.4936) [8 per cell]
O (0.2399, 0.0000, 0.0008) [4 per cell]